# Li2MnF4
Calculated powder diffractogram, Cu Ka. Input: the PBE+U geometry in Alexandria.

Crystal structure
```
14
Lattice="5.2529 0.0000 0.0000 0.0000 3.2367 0.0000 -4.0557 0.0000 9.7181" Properties=species:S:1:pos:R:3 pbc="T T T"
Li -0.8948 0.0074 4.1071
Li -2.9227 3.2293 8.9662
Li 4.1198 0.0074 0.7519
Li 2.0920 3.2293 5.6109
Mn -0.4153 1.6121 7.2886
Mn 1.6125 1.6246 2.4295
F 0.7889 0.0060 1.1866
F -1.2390 3.2307 6.0457
F -2.1453 1.6107 8.4439
F -0.1175 1.6261 3.5849
F 1.3146 1.6107 6.1332
F 3.3425 1.6261 1.2741
F 2.4361 0.0060 3.6724
F 0.4083 3.2307 8.5314
```

Most intense lines, 5 to 70 degrees two-theta, by angle:
hkl  two_theta  Rel. int.
1 0 0  18.28  100.0
1 0 -2  20.29  40.2
0 1 0  27.56  14.0
1 0 2  30.66  22.1
0 1 2  33.27  70.2
2 0 -2  34.37  22.4
2 0 -4  41.26  32.6
1 1 2  41.69  61.9
2 1 0  46.79  20.9
0 2 0  56.89  17.4
1 1 -6  60.03  22.1
3 1 -2  60.16  21.9